BaMgMo4O8: calculated XRD peak list (Cu Kα X-rays), based on a DFT-relaxed cell (GGA+U, Alexandria).
Peak positions follow from Bragg's law for the DFT cell and can differ from measured ones.

Peak list (10 most intense, 10° ≤ 2θ ≤ 90°, by angle)
21.68 deg, I = 244, (1 0 1); 24.41 deg, I = 122, (0 0 2); 30.43 deg, I = 720, (1 0 2); 31.25 deg, I = 1000, (1 1 0); 36.98 deg, I = 152, (0 0 3); 44.19 deg, I = 295, (2 0 2); 49.18 deg, I = 191, (1 1 3); 55.11 deg, I = 294, (2 1 2); 55.63 deg, I = 270, (3 0 0); 60.18 deg, I = 225, (2 -1 4)

Atomic structure:
Cell: 5.7236 5.7236 7.2923 Å, 90.00 90.00 120.00°
Positions (direct):
Ba (0.0000, 0.0000, 0.0000)
Mg (0.0000, 0.0000, 0.5000)
Mo (0.3333, 0.6667, 0.2819)
Mo (0.3333, 0.6667, 0.7181)
Mo (0.6667, 0.3333, 0.2819)
Mo (0.6667, 0.3333, 0.7181)
O (0.0000, 0.2929, 0.3218)
O (0.0000, 0.7071, 0.6782)
O (0.2929, 0.0000, 0.3218)
O (0.2929, 0.2929, 0.6782)
O (0.3333, 0.6667, 0.0000)
O (0.6667, 0.3333, 0.0000)
O (0.7071, 0.0000, 0.6782)
O (0.7071, 0.7071, 0.3218)